[1]
This entry pairs a crystal structure of Pm4Y5Tm with its simulated powder diffraction line list. Radiation: λ = 1.5418 Å (Cu Kα). Structure: the PBE geometry in Alexandria.

Cell and atoms:
Cell lengths 8.1336, 8.1336, 8.1336 Å; angles 97.75, 97.75, 136.90 degrees
Sites, in units of the cell vectors:
1 Pm 0.0000 0.3243 0.3243
2 Pm 0.0000 0.6757 0.6757
3 Pm 0.3243 0.0000 0.3243
4 Pm 0.6757 0.0000 0.6757
5 Y 0.2978 0.2978 0.6220
6 Y 0.2978 0.6758 0.0000
7 Y 0.6758 0.2978 0.0000
8 Y 0.6758 0.6758 0.3780
9 Y 0.7578 0.7578 0.0000
10 Tm 0.2318 0.2318 0.0000

Most intense lines, 2θ = 15–90°, by intensity:
two_theta	d/Å	Rel. int.
29.16	3.062	100
35.60	2.522	43
32.22	2.779	19
60.04	1.541	19
52.64	1.739	15
48.77	1.867	15
23.83	3.735	14
51.23	1.783	13
29.91	2.987	13
26.34	3.383	12
34.38	2.608	12
47.16	1.927	12

---

[2]
This entry pairs a crystal structure of Pm3Y5Tm with its simulated powder diffraction line list. Radiation: λ = 1.5418 Å (Cu Kα). Structure: the PBE geometry in Alexandria.

Cell and atoms:
Cell lengths 9.8057, 9.8057, 7.0824 Å; angles 90.00, 90.00, 120.00 degrees
Sites, in units of the cell vectors:
1 Pm 0.0000 0.3614 0.2500
2 Pm 0.0000 0.6386 0.7500
3 Pm 0.3614 0.0000 0.2500
4 Pm 0.3614 0.3614 0.7500
5 Pm 0.6386 0.0000 0.7500
6 Pm 0.6386 0.6386 0.2500
7 Y 0.0000 0.3029 0.7500
8 Y 0.0000 0.6971 0.2500
9 Y 0.3029 0.0000 0.7500
10 Y 0.3029 0.3029 0.2500
11 Y 0.3333 0.6667 0.0000
12 Y 0.3333 0.6667 0.5000
13 Y 0.6667 0.3333 0.0000
14 Y 0.6667 0.3333 0.5000
15 Y 0.6971 0.0000 0.2500
16 Y 0.6971 0.6971 0.7500
17 Tm 0.0000 0.0000 0.0000
18 Tm 0.0000 0.0000 0.5000

Most intense lines, 2θ = 15–90°, by intensity:
two_theta	d/Å	Rel. int.
31.16	2.871	100
31.61	2.831	98
44.97	2.016	32
56.01	1.642	31
61.80	1.501	30
30.58	2.923	15
56.29	1.634	15
79.87	1.201	11
74.79	1.269	10
22.05	4.031	9
51.62	1.771	9
40.81	2.211	9

---

[3]
This entry pairs a crystal structure of Pm2Y5Tm2 with its simulated powder diffraction line list. Radiation: λ = 1.5418 Å (Cu Kα). Structure: the PBE geometry in Alexandria.

Cell and atoms:
Cell lengths 8.7219, 3.5861, 9.6057 Å; angles 90.00, 103.10, 90.00 degrees
Sites, in units of the cell vectors:
1 Pm 0.0303 0.0000 0.1846
2 Pm 0.9697 0.0000 0.8154
3 Y 0.0000 0.5000 0.5000
4 Y 0.3136 0.5000 0.0326
5 Y 0.3567 0.0000 0.7119
6 Y 0.6433 0.0000 0.2881
7 Y 0.6864 0.5000 0.9674
8 Tm 0.3379 0.5000 0.3889
9 Tm 0.6621 0.5000 0.6111

Most intense lines, 2θ = 15–90°, by intensity:
two_theta	d/Å	Rel. int.
31.48	2.842	100
32.71	2.737	96
31.60	2.832	45
61.15	1.516	31
29.46	3.032	24
48.37	1.882	18
57.64	1.599	18
26.99	3.304	14
50.93	1.793	13
61.88	1.499	13
35.46	2.531	12
34.59	2.593	12

---

[4]
This entry pairs a crystal structure of Pm5Y4Tm with its simulated powder diffraction line list. Radiation: λ = 1.5418 Å (Cu Kα). Structure: the PBE geometry in Alexandria.

Cell and atoms:
Cell lengths 3.5949, 9.2802, 10.5065 Å; angles 84.14, 89.99, 78.84 degrees
Sites, in units of the cell vectors:
1 Pm 0.0000 0.0000 0.0000
2 Pm 0.3105 0.3777 0.9055
3 Pm 0.3591 0.2854 0.2696
4 Pm 0.6409 0.7146 0.7304
5 Pm 0.6895 0.6223 0.0945
6 Y 0.1819 0.6351 0.4128
7 Y 0.4562 0.0884 0.7375
8 Y 0.5438 0.9116 0.2625
9 Y 0.8181 0.3649 0.5872
10 Tm 0.0000 0.0000 0.5000

Most intense lines, 2θ = 15–90°, by intensity:
two_theta	d/Å	Rel. int.
30.88	2.896	100
35.60	2.522	40
29.60	3.018	31
30.71	2.911	30
28.91	3.089	29
48.03	1.894	25
27.37	3.258	24
26.44	3.371	18
50.79	1.797	16
29.95	2.984	15
58.66	1.574	13
31.70	2.823	13

---

[5]
This entry pairs a crystal structure of Pm5Y4Tm2 with its simulated powder diffraction line list. Radiation: λ = 1.5418 Å (Cu Kα). Structure: the PBE geometry in Alexandria.

Cell and atoms:
Cell lengths 6.6611, 6.6611, 9.3720 Å; angles 104.73, 104.73, 66.26 degrees
Sites, in units of the cell vectors:
1 Pm 0.0000 0.0000 0.0000
2 Pm 0.2134 0.6558 0.7301
3 Pm 0.3442 0.7866 0.2699
4 Pm 0.6558 0.2134 0.7301
5 Pm 0.7866 0.3442 0.2699
6 Y 0.3033 0.3033 0.9958
7 Y 0.3339 0.3339 0.3811
8 Y 0.6661 0.6661 0.6189
9 Y 0.6967 0.6967 0.0042
10 Tm 0.1463 0.1463 0.6148
11 Tm 0.8537 0.8537 0.3852

Most intense lines, 2θ = 15–90°, by intensity:
two_theta	d/Å	Rel. int.
33.01	2.714	100
29.66	3.012	61
31.71	2.821	56
32.09	2.789	52
29.77	3.001	47
30.02	2.976	27
32.31	2.771	21
57.70	1.598	17
38.72	2.325	16
38.91	2.314	16
60.77	1.524	16
45.84	1.980	15

---

[6]
This entry pairs a crystal structure of Pm7Y4Tm with its simulated powder diffraction line list. Radiation: λ = 1.5418 Å (Cu Kα). Structure: the PBE geometry in Alexandria.

Cell and atoms:
Cell lengths 6.7492, 6.7492, 12.7383 Å; angles 114.37, 114.37, 53.08 degrees
Sites, in units of the cell vectors:
1 Pm 0.0000 0.0000 0.0000
2 Pm 0.2117 0.2117 0.9225
3 Pm 0.2484 0.2484 0.6846
4 Pm 0.3694 0.3694 0.4999
5 Pm 0.6306 0.6306 0.5001
6 Pm 0.7516 0.7516 0.3154
7 Pm 0.7883 0.7883 0.0775
8 Y 0.0608 0.0608 0.3231
9 Y 0.3669 0.3669 0.2234
10 Y 0.6331 0.6331 0.7766
11 Y 0.9392 0.9392 0.6769
12 Tm 0.5000 0.5000 0.0000

Most intense lines, 2θ = 15–90°, by intensity:
two_theta	d/Å	Rel. int.
29.62	3.016	100
33.11	2.706	67
32.40	2.763	60
33.49	2.675	58
30.77	2.906	51
43.23	2.093	39
32.21	2.779	35
30.54	2.927	32
20.18	4.400	26
43.07	2.100	25
54.82	1.675	22
61.47	1.508	19